Record 1
For NdDySiSe, DFT lattice parameters and positions (GGA-PBE) gives the simulated powder diffractogram in this record (CuKα).
Neutral-atom scattering factors, no anomalous dispersion.

Atomic structure:
abc: 4.1763 4.1763 20.7565
angles: 90.00 90.00 120.00
Space group R3m (No. 160, hexagonal axes)
Symmetry-distinct sites (fractional):
Nd: 0.0000 0.0000 0.0000 x3
Dy: 0.0000 0.0000 0.5081 x3
Si: 0.0000 0.0000 0.2515 x3
Se: 0.0000 0.0000 0.7578 x3

Most intense lines, 2θ = 10–90°, low angle first:
- (0 0 6), 2θ = 25.75°, rel. 11
- (0 1 2), 2θ = 26.09°, rel. 32
- (1 0 4), 2θ = 30.12°, rel. 100
- (0 1 8), 2θ = 42.90°, rel. 37
- (1 1 0), 2θ = 43.33°, rel. 37
- (0 2 4), 2θ = 53.67°, rel. 20
- (2 0 8), 2θ = 62.62°, rel. 12
- (1 1 12), 2θ = 70.72°, rel. 16
- (2 1 4), 2θ = 71.35°, rel. 17
- (1 2 8), 2θ = 79.20°, rel. 12

***

Record 2
For CaYNiAg, DFT lattice parameters and positions (GGA-PBE) gives the simulated powder diffractogram in this record (CuKα).
Neutral-atom scattering factors, no anomalous dispersion.

Atomic structure:
abc: 7.082 7.082 7.082
angles: 90.00 90.00 90.00
Space group F-43m (No. 216)
Symmetry-distinct sites (fractional):
Ca: 0.000 0.000 0.000 x4
Y: 0.000 0.000 0.500 x4
Ni: 0.250 0.250 0.250 x4
Ag: 0.250 0.250 0.750 x4

Most intense lines, 2θ = 10–90°, low angle first:
- (1 1 1), 2θ = 21.74°, rel. 11
- (2 0 0), 2θ = 25.15°, rel. 3
- (2 2 0), 2θ = 35.86°, rel. 100
- (3 1 1), 2θ = 42.33°, rel. 6
- (4 0 0), 2θ = 51.62°, rel. 17
- (3 3 1), 2θ = 56.65°, rel. 3
- (4 2 2), 2θ = 64.45°, rel. 33
- (4 4 0), 2θ = 76.02°, rel. 10
- (5 3 1), 2θ = 80.18°, rel. 2
- (6 2 0), 2θ = 87.02°, rel. 14